Structure and calculated powder diffractogram of Er4Zn3Ru (a GGA-PBE-relaxed structure; Cu Ka).
No peak broadening, texture or thermal motion is included.

Structural model:
abc: 3.477 3.477 14.154
angles: 90.00 90.00 90.00
Fractional positions:
Er  0.000  0.000  0.114
Er  0.000  0.000  0.373
Er  0.000  0.000  0.627
Er  0.000  0.000  0.886
Zn  0.500  0.500  0.248
Zn  0.500  0.500  0.500
Zn  0.500  0.500  0.752
Ru  0.500  0.500  0.000

The 12 most intense peaks (2θ = 10–90°), most intense first:
36.22°, d = 2.480 Å, I = 1000; 36.55°, d = 2.459 Å, I = 501; 65.58°, d = 1.424 Å, I = 348; 52.65°, d = 1.739 Å, I = 175; 64.94°, d = 1.436 Å, I = 166; 25.62°, d = 3.477 Å, I = 152; 76.88°, d = 1.240 Å, I = 101; 51.66°, d = 1.769 Å, I = 83; 89.03°, d = 1.100 Å, I = 80; 88.84°, d = 1.101 Å, I = 78; 25.17°, d = 3.538 Å, I = 74; 44.89°, d = 2.019 Å, I = 68



Structure and calculated powder diffractogram of Sr3Ag (a GGA-PBE-relaxed structure; Cu Ka).
No peak broadening, texture or thermal motion is included.

Structural model:
abc: 8.501 10.898 7.396
angles: 90.00 90.00 90.00
Fractional positions:
Sr  0.038  0.250  0.147
Sr  0.177  0.065  0.662
Sr  0.177  0.435  0.662
Sr  0.323  0.565  0.162
Sr  0.323  0.935  0.162
Sr  0.462  0.750  0.647
Sr  0.538  0.250  0.353
Sr  0.677  0.065  0.838
Sr  0.677  0.435  0.838
Sr  0.823  0.565  0.338
Sr  0.823  0.935  0.338
Sr  0.962  0.750  0.853
Ag  0.121  0.750  0.446
Ag  0.379  0.250  0.946
Ag  0.621  0.750  0.054
Ag  0.879  0.250  0.554

The 12 most intense peaks (2θ = 10–90°), most intense first:
27.55°, d = 3.238 Å, I = 1000; 29.24°, d = 3.054 Å, I = 983; 29.34°, d = 3.044 Å, I = 881; 27.35°, d = 3.261 Å, I = 590; 26.60°, d = 3.351 Å, I = 525; 32.42°, d = 2.762 Å, I = 520; 49.72°, d = 1.834 Å, I = 468; 31.06°, d = 2.879 Å, I = 451; 33.88°, d = 2.646 Å, I = 450; 25.52°, d = 3.491 Å, I = 439; 41.59°, d = 2.172 Å, I = 388; 33.15°, d = 2.703 Å, I = 359



Structure and calculated powder diffractogram of La3I2 (a GGA-PBE-relaxed structure; Cu Ka).
No peak broadening, texture or thermal motion is included.

Structural model:
abc: 8.928 8.928 8.928
angles: 49.56 49.56 49.56
Fractional positions:
La  0.094  0.750  0.406
La  0.250  0.594  0.906
La  0.406  0.094  0.750
La  0.594  0.906  0.250
La  0.750  0.406  0.094
La  0.906  0.250  0.594
I  0.168  0.168  0.168
I  0.332  0.332  0.332
I  0.668  0.668  0.668
I  0.832  0.832  0.832

The 12 most intense peaks (2θ = 10–90°), most intense first:
26.41°, d = 3.375 Å, I = 1000; 33.15°, d = 2.702 Å, I = 913; 41.81°, d = 2.160 Å, I = 499; 42.28°, d = 2.138 Å, I = 282; 64.29°, d = 1.449 Å, I = 274; 54.37°, d = 1.687 Å, I = 217; 70.86°, d = 1.330 Å, I = 194; 15.62°, d = 5.672 Å, I = 186; 50.14°, d = 1.819 Å, I = 167; 67.28°, d = 1.392 Å, I = 133; 20.43°, d = 4.346 Å, I = 131; 46.49°, d = 1.953 Å, I = 123



Structure and calculated powder diffractogram of CaPr4Ho (a GGA-PBE-relaxed structure; Cu Ka).
No peak broadening, texture or thermal motion is included.

Structural model:
abc: 3.723 3.723 15.668
angles: 90.00 90.00 90.00
Fractional positions:
Ca  0.000  0.000  0.000
Pr  0.000  0.000  0.340
Pr  0.000  0.000  0.660
Pr  0.500  0.500  0.180
Pr  0.500  0.500  0.820
Ho  0.500  0.500  0.500

The 12 most intense peaks (2θ = 10–90°), most intense first:
29.46°, d = 3.032 Å, I = 1000; 34.05°, d = 2.633 Å, I = 352; 58.15°, d = 1.586 Å, I = 290; 49.14°, d = 1.854 Å, I = 219; 34.34°, d = 2.611 Å, I = 151; 48.93°, d = 1.862 Å, I = 126; 61.14°, d = 1.516 Å, I = 113; 58.53°, d = 1.577 Å, I = 110; 79.68°, d = 1.203 Å, I = 89; 33.20°, d = 2.699 Å, I = 81; 79.35°, d = 1.207 Å, I = 59; 81.80°, d = 1.177 Å, I = 56



Structure and calculated powder diffractogram of Ce2PC (a GGA-PBE-relaxed structure; Cu Ka).
No peak broadening, texture or thermal motion is included.

Structural model:
abc: 5.632 5.640 11.998
angles: 90.00 117.18 90.00
Fractional positions:
Ce  0.099  0.243  0.105
Ce  0.099  0.757  0.605
Ce  0.343  0.238  0.855
Ce  0.343  0.762  0.355
Ce  0.657  0.238  0.645
Ce  0.657  0.762  0.145
Ce  0.901  0.243  0.395
Ce  0.901  0.757  0.895
P  0.382  0.262  0.375
P  0.382  0.738  0.875
P  0.618  0.262  0.125
P  0.618  0.738  0.625
C  0.078  0.197  0.625
C  0.078  0.803  0.125
C  0.922  0.197  0.875
C  0.922  0.803  0.375

The 12 most intense peaks (2θ = 10–90°), most intense first:
31.75°, d = 2.818 Å, I = 1000; 28.08°, d = 3.178 Å, I = 731; 27.80°, d = 3.209 Å, I = 699; 45.51°, d = 1.993 Å, I = 391; 33.59°, d = 2.668 Å, I = 351; 46.88°, d = 1.938 Å, I = 261; 58.05°, d = 1.589 Å, I = 149; 75.43°, d = 1.260 Å, I = 146; 47.26°, d = 1.923 Å, I = 143; 54.53°, d = 1.683 Å, I = 127; 57.44°, d = 1.604 Å, I = 124; 54.32°, d = 1.689 Å, I = 121



Structure and calculated powder diffractogram of PuVN2 (a GGA-PBE-relaxed structure; Cu Ka).
No peak broadening, texture or thermal motion is included.

Structural model:
abc: 5.472 3.219 10.496
angles: 90.00 90.00 90.00
Fractional positions:
Pu  0.081  0.250  0.142
Pu  0.419  0.750  0.642
Pu  0.581  0.250  0.358
Pu  0.919  0.750  0.858
V  0.079  0.750  0.401
V  0.421  0.250  0.901
V  0.579  0.750  0.099
V  0.921  0.250  0.599
N  0.162  0.250  0.754
N  0.231  0.250  0.489
N  0.269  0.750  0.989
N  0.338  0.750  0.254
N  0.662  0.250  0.746
N  0.731  0.250  0.011
N  0.769  0.750  0.511
N  0.838  0.750  0.246

The 12 most intense peaks (2θ = 10–90°), most intense first:
36.64°, d = 2.453 Å, I = 1000; 30.32°, d = 2.948 Å, I = 417; 18.28°, d = 4.852 Å, I = 366; 29.02°, d = 3.077 Å, I = 302; 33.86°, d = 2.648 Å, I = 297; 34.17°, d = 2.624 Å, I = 264; 64.46°, d = 1.445 Å, I = 239; 62.79°, d = 1.480 Å, I = 213; 23.49°, d = 3.788 Å, I = 188; 41.54°, d = 2.174 Å, I = 182; 52.01°, d = 1.758 Å, I = 180; 58.86°, d = 1.569 Å, I = 169



Structure and calculated powder diffractogram of RhPb8Au2 (a GGA-PBE-relaxed structure; Cu Ka).
No peak broadening, texture or thermal motion is included.

Structural model:
abc: 9.475 9.475 6.968
angles: 105.80 105.80 29.64
Fractional positions:
Rh  0.000  0.000  0.000
Pb  0.089  0.089  0.432
Pb  0.154  0.154  0.978
Pb  0.282  0.282  0.680
Pb  0.476  0.476  0.213
Pb  0.524  0.524  0.787
Pb  0.718  0.718  0.320
Pb  0.846  0.846  0.022
Pb  0.911  0.911  0.568
Au  0.323  0.323  0.291
Au  0.677  0.677  0.709

The 12 most intense peaks (2θ = 10–90°), most intense first:
37.08°, d = 2.424 Å, I = 1000; 29.41°, d = 3.037 Å, I = 774; 31.43°, d = 2.846 Å, I = 730; 34.12°, d = 2.628 Å, I = 654; 31.72°, d = 2.821 Å, I = 564; 32.58°, d = 2.748 Å, I = 440; 36.50°, d = 2.462 Å, I = 432; 39.27°, d = 2.294 Å, I = 414; 28.64°, d = 3.117 Å, I = 327; 31.21°, d = 2.866 Å, I = 295; 66.29°, d = 1.410 Å, I = 266; 68.27°, d = 1.374 Å, I = 228



Structure and calculated powder diffractogram of Na6TlO4 (a GGA-PBE-relaxed structure; Cu Ka).
No peak broadening, texture or thermal motion is included.

Structural model:
abc: 7.879 7.879 5.634
angles: 90.00 90.00 90.00
Fractional positions:
Na  0.035  0.535  0.250
Na  0.035  0.965  0.250
Na  0.250  0.250  0.197
Na  0.250  0.250  0.697
Na  0.465  0.535  0.250
Na  0.465  0.965  0.250
Na  0.535  0.035  0.750
Na  0.535  0.465  0.750
Na  0.750  0.750  0.303
Na  0.750  0.750  0.803
Na  0.965  0.035  0.750
Na  0.965  0.465  0.750
Tl  0.250  0.750  0.750
Tl  0.750  0.250  0.250
O  0.014  0.250  0.458
O  0.250  0.014  0.958
O  0.250  0.486  0.958
O  0.486  0.250  0.458
O  0.514  0.750  0.542
O  0.750  0.514  0.042
O  0.750  0.986  0.042
O  0.986  0.750  0.542

The 12 most intense peaks (2θ = 10–90°), most intense first:
19.37°, d = 4.583 Å, I = 1000; 29.91°, d = 2.987 Å, I = 883; 15.91°, d = 5.571 Å, I = 483; 45.81°, d = 1.981 Å, I = 427; 37.79°, d = 2.380 Å, I = 398; 32.13°, d = 2.786 Å, I = 288; 22.57°, d = 3.939 Å, I = 256; 46.08°, d = 1.970 Å, I = 210; 55.44°, d = 1.657 Å, I = 209; 35.71°, d = 2.514 Å, I = 184; 61.06°, d = 1.518 Å, I = 183; 50.43°, d = 1.810 Å, I = 180



Structure and calculated powder diffractogram of LaPm7Tm3 (a GGA-PBE-relaxed structure; Cu Ka).
No peak broadening, texture or thermal motion is included.

Structural model:
abc: 7.034 11.140 10.214
angles: 90.00 109.62 90.00
Fractional positions:
La  0.000  0.000  0.000
La  0.000  0.500  0.000
Pm  0.091  0.045  0.678
Pm  0.091  0.455  0.678
Pm  0.171  0.750  0.819
Pm  0.303  0.250  0.108
Pm  0.369  0.750  0.180
Pm  0.422  0.016  0.332
Pm  0.422  0.484  0.332
Pm  0.578  0.516  0.668
Pm  0.578  0.984  0.668
Pm  0.631  0.250  0.820
Pm  0.697  0.750  0.892
Pm  0.829  0.250  0.181
Pm  0.909  0.545  0.322
Pm  0.909  0.955  0.322
Tm  0.241  0.250  0.474
Tm  0.268  0.750  0.512
Tm  0.500  0.000  0.000
Tm  0.500  0.500  0.000
Tm  0.732  0.250  0.488
Tm  0.759  0.750  0.526

The 12 most intense peaks (2θ = 10–90°), most intense first:
32.19°, d = 2.781 Å, I = 1000; 31.59°, d = 2.832 Å, I = 596; 31.40°, d = 2.849 Å, I = 589; 45.52°, d = 1.993 Å, I = 172; 56.81°, d = 1.621 Å, I = 169; 52.02°, d = 1.758 Å, I = 124; 45.73°, d = 1.984 Å, I = 111; 27.54°, d = 3.239 Å, I = 104; 62.25°, d = 1.491 Å, I = 99; 62.46°, d = 1.487 Å, I = 97; 62.75°, d = 1.481 Å, I = 95; 57.34°, d = 1.607 Å, I = 81



Structure and calculated powder diffractogram of SnBiC3 (a GGA-PBE-relaxed structure; Cu Ka).
No peak broadening, texture or thermal motion is included.

Structural model:
abc: 4.357 4.357 4.357
angles: 90.00 90.00 90.00
Fractional positions:
Sn  0.000  0.000  0.000
Bi  0.500  0.500  0.500
C  0.000  0.000  0.500
C  0.000  0.500  0.000
C  0.500  0.000  0.000

The 12 most intense peaks (2θ = 10–90°), most intense first:
28.98°, d = 3.081 Å, I = 1000; 51.37°, d = 1.779 Å, I = 433; 41.45°, d = 2.179 Å, I = 249; 82.91°, d = 1.164 Å, I = 236; 68.05°, d = 1.378 Å, I = 193; 60.06°, d = 1.540 Å, I = 166; 20.38°, d = 4.357 Å, I = 58; 75.60°, d = 1.258 Å, I = 58; 35.69°, d = 2.516 Å, I = 53; 46.61°, d = 1.949 Å, I = 33; 71.87°, d = 1.314 Å, I = 18; 64.12°, d = 1.452 Å, I = 17



Structure and calculated powder diffractogram of Pr4Y10Tm (a GGA-PBE-relaxed structure; Cu Ka).
No peak broadening, texture or thermal motion is included.

Structural model:
abc: 8.999 8.999 8.999
angles: 101.21 101.21 127.67
Fractional positions:
Pr  0.228  0.228  0.456
Pr  0.228  0.772  0.000
Pr  0.772  0.228  0.000
Pr  0.772  0.772  0.544
Y  0.081  0.291  0.791
Y  0.250  0.750  0.500
Y  0.291  0.081  0.791
Y  0.291  0.500  0.209
Y  0.500  0.291  0.209
Y  0.500  0.709  0.791
Y  0.709  0.500  0.791
Y  0.709  0.919  0.209
Y  0.750  0.250  0.500
Y  0.919  0.709  0.209
Tm  0.000  0.000  0.000

The 12 most intense peaks (2θ = 10–90°), most intense first:
31.61°, d = 2.830 Å, I = 1000; 31.32°, d = 2.856 Å, I = 868; 30.38°, d = 2.942 Å, I = 553; 27.37°, d = 3.259 Å, I = 466; 40.49°, d = 2.228 Å, I = 346; 33.55°, d = 2.671 Å, I = 316; 66.66°, d = 1.403 Å, I = 225; 44.89°, d = 2.019 Å, I = 215; 34.81°, d = 2.577 Å, I = 214; 52.96°, d = 1.729 Å, I = 213; 56.48°, d = 1.629 Å, I = 210; 65.81°, d = 1.419 Å, I = 180



Structure and calculated powder diffractogram of Tm2ScGa3 (a GGA-PBE-relaxed structure; Cu Ka).
No peak broadening, texture or thermal motion is included.

Structural model:
abc: 4.904 4.904 12.053
angles: 90.00 90.00 120.00
Fractional positions:
Tm  0.000  0.000  0.000
Tm  0.000  0.000  0.500
Tm  0.333  0.667  0.171
Tm  0.667  0.333  0.829
Sc  0.333  0.667  0.666
Sc  0.667  0.333  0.334
Ga  0.000  0.000  0.254
Ga  0.000  0.000  0.746
Ga  0.333  0.667  0.418
Ga  0.333  0.667  0.914
Ga  0.667  0.333  0.086
Ga  0.667  0.333  0.582

The 12 most intense peaks (2θ = 10–90°), most intense first:
36.61°, d = 2.455 Å, I = 1000; 65.96°, d = 1.416 Å, I = 262; 52.74°, d = 1.736 Å, I = 173; 22.18°, d = 4.008 Å, I = 116; 25.66°, d = 3.471 Å, I = 105; 65.77°, d = 1.420 Å, I = 88; 89.14°, d = 1.099 Å, I = 79; 89.30°, d = 1.097 Å, I = 79; 77.72°, d = 1.229 Å, I = 54; 77.93°, d = 1.226 Å, I = 54; 43.20°, d = 2.094 Å, I = 41; 45.28°, d = 2.003 Å, I = 23



Structure and calculated powder diffractogram of Ir3Rh2 (a GGA-PBE-relaxed structure; Cu Ka).
No peak broadening, texture or thermal motion is included.

Structural model:
abc: 9.840 9.840 9.840
angles: 164.05 164.05 22.63
Fractional positions:
Ir  0.000  0.000  0.000
Ir  0.201  0.201  0.000
Ir  0.799  0.799  0.000
Rh  0.400  0.400  0.000
Rh  0.600  0.600  0.000

The 12 most intense peaks (2θ = 10–90°), most intense first:
40.47°, d = 2.229 Å, I = 1000; 47.08°, d = 1.930 Å, I = 488; 82.96°, d = 1.164 Å, I = 382; 68.78°, d = 1.365 Å, I = 315; 87.54°, d = 1.114 Å, I = 114; 18.39°, d = 4.824 Å, I = 59; 33.14°, d = 2.703 Å, I = 49; 50.95°, d = 1.792 Å, I = 19; 54.41°, d = 1.686 Å, I = 18; 27.74°, d = 3.216 Å, I = 15; 55.52°, d = 1.655 Å, I = 10; 78.50°, d = 1.218 Å, I = 10